[1]
# La5CSe4
Calculated X-ray diffraction stick pattern, a wavelength of 1.5418 Å. Input: a GGA-PBE-relaxed structure.
No peak broadening, texture or thermal motion is included.

Principal peaks in the range 10° ≤ 2θ ≤ 90°, in order of rising 2θ:
| 2theta | d_spacing | Rel. int. | h k l |
| --- | --- | --- | --- |
| 25.65 | 3.472 | 375 | 2 1 1 |
| 29.50 | 3.028 | 532 | 0 0 2 |
| 29.81 | 2.997 | 1000 | 1 3 0 |
| 42.44 | 2.130 | 750 | 1 3 2 |
| 42.67 | 2.119 | 317 | 4 2 0 |
| 52.72 | 1.736 | 332 | 4 2 2 |

Structural model:
a b c (Å): 9.477 9.477 6.056
angles (deg): 90.00 90.00 90.00
Space group I4 (No. 79)
Unique sites:
La: 0.000 0.000 0.000 x2
La: 0.092 0.269 0.472 x8
C: 0.000 0.000 0.441 x2
Se: 0.092 0.304 0.974 x8


[2]
# AgSbRu
Calculated X-ray diffraction stick pattern, a wavelength of 1.5418 Å. Input: a GGA-PBE-relaxed structure.
No peak broadening, texture or thermal motion is included.

Principal peaks in the range 10° ≤ 2θ ≤ 90°, in order of rising 2θ:
| 2theta | d_spacing | Rel. int. | h k l |
| --- | --- | --- | --- |
| 29.45 | 3.033 | 242 | 1 1 0 |
| 32.68 | 2.740 | 462 | 1 1 1 |
| 41.01 | 2.201 | 1000 | 1 1 2 |
| 42.14 | 2.144 | 601 | 2 0 0 |
| 61.12 | 1.516 | 193 | 2 2 0 |
| 76.26 | 1.249 | 309 | 3 1 2 |

Structural model:
a b c (Å): 4.289 4.289 6.396
angles (deg): 90.00 90.00 90.00
Space group P4/nmm (No. 129, origin choice 2)
Unique sites:
Ag: 0.250 0.250 0.180 x2
Sb: 0.250 0.250 0.743 x2
Ru: 0.250 0.750 0.500 x2


[3]
# SmY2Ho5Er
Calculated X-ray diffraction stick pattern, a wavelength of 1.5418 Å. Input: a GGA-PBE-relaxed structure.
No peak broadening, texture or thermal motion is included.

Principal peaks in the range 10° ≤ 2θ ≤ 90°, in order of rising 2θ:
| 2theta | d_spacing | Rel. int. | h k l |
| --- | --- | --- | --- |
| 28.49 | 3.133 | 209 | 0 6 1 |
| 30.33 | 2.947 | 389 | 1 1 3 |
| 31.97 | 2.800 | 401 | 2 0 0 |
| 32.57 | 2.750 | 1000 | 1 5 2 |
| 43.35 | 2.087 | 134 | 2 6 1 |
| 57.35 | 1.607 | 199 | 3 5 2 |

Structural model:
a b c (Å): 5.599 19.682 10.565
angles (deg): 90.00 90.00 90.00
Space group Cmc2_1 (No. 36)
Unique sites:
Sm: 0.000 0.084 0.000 x4
Y: 0.000 0.387 0.863 x4
Y: 0.000 0.390 0.279 x4
Ho: 0.000 0.021 0.282 x4
Ho: 0.000 0.111 0.566 x4
Ho: 0.000 0.201 0.252 x4
Ho: 0.000 0.217 0.855 x4
Ho: 0.000 0.481 0.569 x4
Er: 0.000 0.299 0.555 x4


[4]
# LaErCuPd
Calculated X-ray diffraction stick pattern, a wavelength of 1.5418 Å. Input: a GGA-PBE-relaxed structure.
No peak broadening, texture or thermal motion is included.

Principal peaks in the range 10° ≤ 2θ ≤ 90°, in order of rising 2θ:
| 2theta | d_spacing | Rel. int. | h k l |
| --- | --- | --- | --- |
| 31.41 | 2.848 | 1000 | 1 1 1 |
| 34.34 | 2.612 | 346 | 0 1 3 |
| 39.09 | 2.305 | 528 | 2 0 0 |
| 39.67 | 2.272 | 602 | 1 1 3 |
| 53.00 | 1.728 | 262 | 2 1 3 |
| 62.87 | 1.478 | 255 | 2 2 0 |

Structural model:
a b c (Å): 4.608 3.854 10.655
angles (deg): 90.00 90.00 90.00
Space group Amm2 (No. 38)
Unique sites:
La: 0.000 0.000 0.000 x2
Er: 0.500 0.000 0.276 x2
Cu: 0.000 0.000 0.721 x2
Pd: 0.500 0.000 0.568 x2


[5]
# CaC2N2O2
Calculated X-ray diffraction stick pattern, a wavelength of 1.5418 Å. Input: a GGA-PBE-relaxed structure.
No peak broadening, texture or thermal motion is included.

Principal peaks in the range 10° ≤ 2θ ≤ 90°, in order of rising 2θ:
| 2theta | d_spacing | Rel. int. | h k l |
| --- | --- | --- | --- |
| 26.59 | 3.352 | 989 | 3 0 0 |
| 30.33 | 2.947 | 1000 | 1 0 4 |
| 30.83 | 2.901 | 274 | 2 2 0 |
| 37.96 | 2.370 | 485 | 2 2 3 |
| 41.17 | 2.193 | 212 | 4 1 0 |
| 46.96 | 1.935 | 652 | 1 4 3 |

Structural model:
a b c (Å): 11.6029 11.6029 12.3318
angles (deg): 90.00 90.00 120.00
Space group R3c (No. 161, hexagonal axes)
Unique sites:
Ca: 0.0240 0.3400 0.0000 x18
C: 0.0145 0.1213 0.5229 x18
C: 0.0434 0.1303 0.7833 x18
N: 0.1255 0.0152 0.0239 x18
N: 0.1349 0.0454 0.2825 x18
O: 0.0330 0.2416 0.5178 x18
O: 0.0756 0.4991 0.4540 x18


[6]
# Pr2Sm8Tl
Calculated X-ray diffraction stick pattern, a wavelength of 1.5418 Å. Input: a GGA-PBE-relaxed structure.
No peak broadening, texture or thermal motion is included.

Principal peaks in the range 10° ≤ 2θ ≤ 90°, in order of rising 2θ:
| 2theta | d_spacing | Rel. int. | h k l |
| --- | --- | --- | --- |
| 30.09 | 2.970 | 144 | 1 0 5 |
| 30.61 | 2.921 | 128 | 0 0 6 |
| 32.03 | 2.794 | 1000 | 2 0 0 |
| 44.88 | 2.020 | 90 | 2 0 6 |
| 57.09 | 1.613 | 190 | 3 2 3 |
| 66.98 | 1.397 | 80 | 4 0 0 |

Structural model:
a b c (Å): 5.592 7.734 17.525
angles (deg): 90.00 90.00 90.00
Space group Immm (No. 71)
Unique sites:
Pr: 0.000 0.000 0.193 x4
Sm: 0.000 0.241 0.000 x4
Sm: 0.000 0.272 0.364 x8
Sm: 0.000 0.500 0.178 x4
Tl: 0.000 0.000 0.500 x2


[7]
# SrSnO3
Calculated X-ray diffraction stick pattern, a wavelength of 1.5418 Å. Input: a GGA-PBE-relaxed structure.
No peak broadening, texture or thermal motion is included.

Principal peaks in the range 10° ≤ 2θ ≤ 90°, in order of rising 2θ:
| 2theta | d_spacing | Rel. int. | h k l |
| --- | --- | --- | --- |
| 27.88 | 3.201 | 1000 | 1 0 1 |
| 28.14 | 3.171 | 441 | 0 0 4 |
| 30.48 | 2.933 | 841 | 1 0 2 |
| 47.62 | 1.910 | 504 | 1 1 0 |
| 51.29 | 1.781 | 271 | 1 0 6 |
| 56.23 | 1.636 | 395 | 1 1 4 |

Structural model:
a b c (Å): 3.8193 3.8193 12.6827
angles (deg): 90.00 90.00 120.00
Space group P6_3/mmc (No. 194)
Unique sites:
Sr: 0.0000 0.0000 0.0000 x2
Sn: 0.3333 0.6667 0.2500 x2
O: 0.0000 0.0000 0.2500 x2
O: 0.3333 0.6667 0.0959 x4


[8]
# PmIn5Hg4
Calculated X-ray diffraction stick pattern, a wavelength of 1.5418 Å. Input: a GGA-PBE-relaxed structure.
No peak broadening, texture or thermal motion is included.

Principal peaks in the range 10° ≤ 2θ ≤ 90°, in order of rising 2θ:
| 2theta | d_spacing | Rel. int. | h k l |
| --- | --- | --- | --- |
| 27.03 | 3.298 | 346 | 1 1 -2 |
| 28.20 | 3.164 | 561 | 3 1 -2 |
| 33.13 | 2.704 | 734 | 3 1 -3 |
| 36.27 | 2.477 | 1000 | 3 1 1 |
| 36.47 | 2.463 | 585 | 6 0 -2 |
| 40.65 | 2.219 | 415 | 0 2 0 |

Structural model:
a b c (Å): 14.913 4.439 10.306
angles (deg): 90.00 126.26 90.00
Space group C2/m (No. 12)
Unique sites:
Pm: 0.000 0.000 0.000 x2
In: 0.000 0.500 0.500 x2
In: 0.076 0.000 0.747 x4
In: 0.098 0.500 0.304 x4
Hg: 0.176 0.500 0.034 x4
Hg: 0.248 0.500 0.676 x4


[9]
# NdSm3Er3
Calculated X-ray diffraction stick pattern, a wavelength of 1.5418 Å. Input: a GGA-PBE-relaxed structure.
No peak broadening, texture or thermal motion is included.

Principal peaks in the range 10° ≤ 2θ ≤ 90°, in order of rising 2θ:
| 2theta | d_spacing | Rel. int. | h k l |
| --- | --- | --- | --- |
| 28.80 | 3.100 | 319 | 0 2 4 |
| 30.92 | 2.892 | 347 | 1 0 7 |
| 31.76 | 2.818 | 1000 | 2 1 1 |
| 32.01 | 2.796 | 876 | 2 -1 6 |
| 32.55 | 2.751 | 556 | 1 2 2 |
| 37.72 | 2.385 | 263 | 3 -2 5 |

Structural model:
a b c (Å): 8.6807 8.6807 21.9297
angles (deg): 90.00 90.00 120.00
Space group R-3 (No. 148, hexagonal axes)
Unique sites:
Nd: 0.0000 0.0000 0.1538 x6
Sm: 0.0503 0.4480 0.3808 x18
Er: 0.0049 0.2309 0.5585 x18


[10]
# CeY2Th12
Calculated X-ray diffraction stick pattern, a wavelength of 1.5418 Å. Input: a GGA-PBE-relaxed structure.
No peak broadening, texture or thermal motion is included.

Principal peaks in the range 10° ≤ 2θ ≤ 90°, in order of rising 2θ:
| 2theta | d_spacing | Rel. int. | h k l |
| --- | --- | --- | --- |
| 26.71 | 3.338 | 150 | 1 0 2 |
| 29.53 | 3.025 | 296 | 0 1 7 |
| 30.94 | 2.891 | 1000 | 0 2 0 |
| 32.74 | 2.735 | 484 | 0 1 8 |
| 33.42 | 2.681 | 192 | 1 1 4 |
| 37.24 | 2.414 | 431 | 1 1 6 |

Structural model:
a b c (Å): 3.465 5.781 24.841
angles (deg): 90.00 90.00 90.00
Space group Pmmm (No. 47)
Unique sites:
Ce: 0.000 0.000 0.000 x1
Y: 0.000 0.000 0.264 x2
Th: 0.000 0.500 0.067 x2
Th: 0.000 0.500 0.437 x2
Th: 0.500 0.000 0.125 x2
Th: 0.500 0.000 0.416 x2
Th: 0.500 0.500 0.193 x2
Th: 0.500 0.500 0.321 x2